Diffraction record for NaPm2NiO5. The powder XRD pattern is simulated, not measured: it uses a DFT-relaxed cell (GGA+U, Alexandria) and a wavelength of 1.5418 Å.
Peak positions follow from Bragg's law for the DFT cell and can differ from measured ones.

Principal peaks in the range 2θ = 10–90°, in order of rising 2θ:
2θ (°), d/Å, I/Imax, index
15.8, 5.592, 84, 0 0 1
18.8, 4.729, 32, 1 1 0
29.9, 2.991, 39, 2 1 0
31.2, 2.870, 90, 2 0 1
32.0, 2.796, 36, 0 0 2
34.0, 2.637, 100, 2 1 1
44.4, 2.042, 68, 2 1 2
45.9, 1.978, 31, 3 1 1
59.3, 1.558, 29, 4 1 1
66.7, 1.403, 22, 4 1 2

Structure:
a b c (Å): 6.6872 6.6872 5.5915
angles (deg): 90.00 90.00 90.00
Space group P4/mbm (No. 127)
One atom of each set of equivalent atoms:
Na 0.0000 0.0000 0.0000
Pm 0.1775 0.3225 0.5000
Ni 0.0000 0.5000 0.0000
O 0.0000 0.0000 0.5000
O 0.1316 0.6316 0.2394